No. 1
Rb2NbBr4: calculated powder diffraction line list (Cu Ka), based on the PBE geometry in Alexandria.
Lines closer than 0.1° are merged.

Crystal structure
```
data_Rb2NbBr4
_chemical_formula_sum 'Rb4 Nb2 Br8'
_space_group_name_H-M_alt 'I 4/m m m'
_space_group_IT_number 139
_space_group_name_Hall '-I 4 2'
_cell_length_a 5.464
_cell_length_b 5.464
_cell_length_c 17.198
_cell_angle_alpha 90.00
_cell_angle_beta 90.00
_cell_angle_gamma 90.00
loop_
_atom_site_label
_atom_site_type_symbol
_atom_site_fract_x
_atom_site_fract_y
_atom_site_fract_z
Rb1 Rb 0.000 0.000 0.140
Nb1 Nb 0.000 0.000 0.500
Br1 Br 0.000 0.000 0.341
Br2 Br 0.000 0.500 0.000
```

Peak list (12 most intense, 10 to 90 degrees two-theta, low angle first)
| 2θ (°) | I (rel.) | hkl |
| --- | --- | --- |
| 10.3 | 48 | 0 0 2 |
| 23.0 | 44 | 1 1 0 |
| 25.3 | 28 | 1 1 2 |
| 30.7 | 22 | 1 0 5 |
| 31.2 | 100 | 0 0 6 |
| 32.8 | 87 | 2 0 0 |
| 45.5 | 15 | 2 1 5 |
| 45.9 | 49 | 2 0 6 |
| 47.0 | 31 | 2 2 0 |
| 57.5 | 46 | 2 2 6 |
| 77.4 | 15 | 4 0 6 |
| 86.6 | 16 | 4 2 6 |

***

No. 2
Pm2Sm2Tm7: calculated powder diffraction line list (Cu Ka), based on the PBE geometry in Alexandria.
Lines closer than 0.1° are merged.

Crystal structure
```
data_Pm2Sm2Tm7
_chemical_formula_sum 'Pm4 Sm4 Tm14'
_space_group_name_H-M_alt 'C 1 2/m 1'
_space_group_IT_number 12
_cell_length_a 11.173
_cell_length_b 11.539
_cell_length_c 6.033
_cell_angle_alpha 90.00
_cell_angle_beta 113.86
_cell_angle_gamma 90.00
loop_
_space_group_symop_operation_xyz
'x,y,z'
'-x,-y,-z'
'-x,y,-z'
'x,-y,z'
'x+1/2,y+1/2,z'
'-x+1/2,-y+1/2,-z'
'-x+1/2,y+1/2,-z'
'x+1/2,-y+1/2,z'
loop_
_atom_site_label
_atom_site_type_symbol
_atom_site_fract_x
_atom_site_fract_y
_atom_site_fract_z
Pm1 Pm 0.000 0.210 0.000
Sm1 Sm 0.098 0.500 0.311
Tm1 Tm 0.000 0.000 0.500
Tm2 Tm 0.173 0.238 0.676
Tm3 Tm 0.234 0.000 0.077
```

Peak list (12 most intense, 10 to 90 degrees two-theta, low angle first)
| 2θ (°) | I (rel.) | hkl |
| --- | --- | --- |
| 25.7 | 22 | 3 1 -1 |
| 31.0 | 77 | 0 4 0 |
| 32.1 | 28 | 4 0 -1 |
| 32.3 | 100 | 2 2 1 |
| 33.8 | 40 | 2 2 -2 |
| 34.0 | 30 | 3 3 -1 |
| 35.8 | 12 | 4 2 -1 |
| 45.2 | 16 | 4 4 -1 |
| 50.0 | 13 | 1 5 -2 |
| 56.0 | 15 | 2 6 1 |
| 56.3 | 11 | 6 2 0 |
| 59.6 | 12 | 1 3 3 |

***

No. 3
Ti12Cu9Bi2O36: calculated powder diffraction line list (Cu Ka), based on the PBE geometry in Alexandria.
Lines closer than 0.1° are merged.

Crystal structure
```
data_Ti12Cu9Bi2O36
_chemical_formula_sum 'Ti12 Cu9 Bi2 O36'
_space_group_name_H-M_alt 'P -3'
_space_group_IT_number 147
_cell_length_a 10.5541
_cell_length_b 10.5541
_cell_length_c 6.4942
_cell_angle_alpha 90.00
_cell_angle_beta 90.00
_cell_angle_gamma 120.00
loop_
_space_group_symop_operation_xyz
'x,y,z'
'-x,-y,-z'
'-y,x-y,z'
'y,-x+y,-z'
'-x+y,-x,z'
'x-y,x,-z'
loop_
_atom_site_label
_atom_site_type_symbol
_atom_site_fract_x
_atom_site_fract_y
_atom_site_fract_z
Ti1 Ti 0.0000 0.0000 0.0000
Ti2 Ti 0.0000 0.5000 0.0000
Ti3 Ti 0.1579 0.8415 0.6636
Ti4 Ti 0.3333 0.6667 0.3199
Cu1 Cu 0.0000 0.5000 0.5000
Cu2 Cu 0.1674 0.3353 0.1620
Bi1 Bi 0.3333 0.6667 0.7940
O1 O 0.0165 0.8528 0.8300
O2 O 0.0446 0.7772 0.4122
O3 O 0.0718 0.6252 0.7495
O4 O 0.1132 0.4052 0.9142
O5 O 0.1724 0.6493 0.1540
O6 O 0.1920 0.5080 0.5136
```

Peak list (12 most intense, 10 to 90 degrees two-theta, low angle first)
| 2θ (°) | I (rel.) | hkl |
| --- | --- | --- |
| 16.8 | 37 | 1 0 1 |
| 23.8 | 25 | 2 0 1 |
| 29.3 | 18 | 3 -1 1 |
| 32.4 | 17 | 1 1 2 |
| 33.9 | 94 | 0 2 2 |
| 34.0 | 100 | 2 2 0 |
| 38.1 | 23 | 3 1 1 |
| 41.9 | 18 | 0 4 1 |
| 45.4 | 16 | 4 1 0 |
| 48.7 | 51 | 4 0 2 |
| 60.5 | 21 | 2 0 4 |
| 60.8 | 69 | 6 0 0 |

***

No. 4
Er2CuNi3As4: calculated powder diffraction line list (Cu Ka), based on the PBE geometry in Alexandria.
Lines closer than 0.1° are merged.

Crystal structure
```
data_Er2CuNi3As4
_chemical_formula_sum 'Er2 Cu1 Ni3 As4'
_space_group_name_H-M_alt 'P -4 m 2'
_space_group_IT_number 115
_cell_length_a 4.114
_cell_length_b 4.114
_cell_length_c 9.648
_cell_angle_alpha 90.00
_cell_angle_beta 90.00
_cell_angle_gamma 90.00
loop_
_space_group_symop_operation_xyz
'x,y,z'
'y,-x,-z'
'-x,-y,z'
'-y,x,-z'
'-x,y,z'
'-y,-x,-z'
'x,-y,z'
'y,x,-z'
loop_
_atom_site_label
_atom_site_type_symbol
_atom_site_fract_x
_atom_site_fract_y
_atom_site_fract_z
Er1 Er 0.000 0.500 0.249
Cu1 Cu 0.500 0.500 0.000
Ni1 Ni 0.000 0.000 0.000
Ni2 Ni 0.000 0.500 0.624
As1 As 0.000 0.000 0.500
As2 As 0.000 0.500 0.863
As3 As 0.500 0.500 0.500
```

Peak list (12 most intense, 10 to 90 degrees two-theta, low angle first)
| 2θ (°) | I (rel.) | hkl |
| --- | --- | --- |
| 23.5 | 10 | 1 0 1 |
| 30.7 | 20 | 1 1 0 |
| 35.4 | 66 | 1 0 3 |
| 36.1 | 100 | 1 1 2 |
| 44.0 | 57 | 2 0 0 |
| 52.4 | 26 | 1 0 5 |
| 57.7 | 32 | 2 1 3 |
| 64.0 | 18 | 2 2 0 |
| 66.4 | 12 | 1 1 6 |
| 70.8 | 21 | 2 1 5 |
| 75.3 | 7 | 3 0 3 |
| 75.7 | 22 | 3 1 2 |

***

No. 5
Li2ReSnN: calculated powder diffraction line list (Cu Ka), based on the PBE geometry in Alexandria.
Lines closer than 0.1° are merged.

Crystal structure
```
data_Li2ReSnN
_chemical_formula_sum 'Li2 Re1 Sn1 N1'
_space_group_name_H-M_alt 'P 4/m m m'
_space_group_IT_number 123
_space_group_name_Hall '-P 4 2'
_cell_length_a 4.188
_cell_length_b 4.188
_cell_length_c 3.898
_cell_angle_alpha 90.00
_cell_angle_beta 90.00
_cell_angle_gamma 90.00
loop_
_atom_site_label
_atom_site_type_symbol
_atom_site_fract_x
_atom_site_fract_y
_atom_site_fract_z
Li1 Li 0.000 0.500 0.000
Re1 Re 0.000 0.000 0.500
Sn1 Sn 0.500 0.500 0.500
N1 N 0.000 0.000 0.000
```

Peak list (12 most intense, 10 to 90 degrees two-theta, low angle first)
| 2θ (°) | I (rel.) | hkl |
| --- | --- | --- |
| 22.8 | 79 | 0 0 1 |
| 30.2 | 97 | 1 1 0 |
| 38.2 | 100 | 1 1 1 |
| 43.2 | 42 | 2 0 0 |
| 46.6 | 17 | 0 0 2 |
| 49.4 | 43 | 2 0 1 |
| 56.5 | 33 | 1 1 2 |
| 65.4 | 25 | 2 0 2 |
| 67.7 | 17 | 2 2 1 |
| 71.2 | 17 | 3 1 0 |
| 75.9 | 29 | 3 1 1 |
| 89.5 | 20 | 3 1 2 |